Theoretical powder diffractogram
Compound: SmDyAl2Ge
Radiation: a wavelength of 1.5418 Å
Structure: a crystal structure in Alexandria, relaxed with GGA-PBE
Kinematic intensities with the Lorentz-polarization factor, no thermal factor.

Main lines, sorted by position (2θ from 10° to 90°):
2θ/deg	intensity
21.4	30
28.9	18
29.7	22
30.0	26
32.4	100
41.0	18
41.8	17
51.6	18

Structure:
```
data_SmDyAl2Ge
_chemical_formula_sum 'Sm2 Dy2 Al4 Ge2'
_space_group_name_H-M_alt 'I m m 2'
_space_group_IT_number 44
_cell_length_a 4.324
_cell_length_b 4.406
_cell_length_c 12.348
_cell_angle_alpha 90.00
_cell_angle_beta 90.00
_cell_angle_gamma 90.00
loop_
_space_group_symop_operation_xyz
'x,y,z'
'-x,-y,z'
'-x,y,z'
'x,-y,z'
'x+1/2,y+1/2,z+1/2'
'-x+1/2,-y+1/2,z+1/2'
'-x+1/2,y+1/2,z+1/2'
'x+1/2,-y+1/2,z+1/2'
loop_
_atom_site_label
_atom_site_fract_x
_atom_site_fract_y
_atom_site_fract_z
_atom_site_occupancy
Sm1 0.000 0.000 0.000 1
Dy1 0.000 0.500 0.754 1
Al1 0.000 0.000 0.602 1
Al2 0.000 0.500 0.237 1
Ge1 0.000 0.000 0.401 1
```